(1)
This entry pairs a crystal structure of Tl2CrGaO4 with its theoretical powder XRD pattern. Radiation: Cu Kα (weighted mean of Kα1 and Kα2). Structure: DFT lattice parameters and positions (PBE+U).
No peak broadening, texture or thermal motion is included.

Top 12 peaks for 10° ≤ 2θ ≤ 90°, by intensity:
(hkl)	d [Å]	2θ/deg	I (rel.)
1 1 3	3.981	22.33	100
2 2 0	2.497	35.96	93
1 3 3	2.895	30.89	63
0 2 6	2.884	31.00	61
0 4 0	2.982	29.96	41
1 1 5	3.100	28.80	38
2 4 6	1.723	53.15	27
2 0 6	2.111	42.83	23
2 6 0	1.611	57.18	20
1 5 3	2.077	43.57	20
0 2 2	5.107	17.36	19
1 1 1	4.842	18.32	19

Structure:
```
data_Tl2CrGaO4
_space_group_name_H-M_alt 'F d d d'
_space_group_IT_number 70
_cell_length_a 5.499
_cell_length_b 11.928
_cell_length_c 19.773
_cell_angle_alpha 90.00
_cell_angle_beta 90.00
_cell_angle_gamma 90.00
loop_
_space_group_symop_operation_xyz
'x,y,z'
'-x,-y,-z'
'-x+1/4,-y+1/4,z'
'x+1/4,y+1/4,-z'
'x,-y+1/4,-z+1/4'
'-x,y+1/4,z+1/4'
'-x+1/4,y,-z+1/4'
'x+1/4,-y,z+1/4'
'x,y+1/2,z+1/2'
'-x,-y+1/2,-z+1/2'
'-x+1/4,-y+3/4,z+1/2'
'x+1/4,y+3/4,-z+1/2'
'x,-y+3/4,-z+3/4'
'-x,y+3/4,z+3/4'
'-x+1/4,y+1/2,-z+3/4'
'x+1/4,-y+1/2,z+3/4'
'x+1/2,y,z+1/2'
'-x+1/2,-y,-z+1/2'
'-x+3/4,-y+1/4,z+1/2'
'x+3/4,y+1/4,-z+1/2'
'x+1/2,-y+1/4,-z+3/4'
'-x+1/2,y+1/4,z+3/4'
'-x+3/4,y,-z+3/4'
'x+3/4,-y,z+3/4'
'x+1/2,y+1/2,z'
'-x+1/2,-y+1/2,-z'
'-x+3/4,-y+3/4,z'
'x+3/4,y+3/4,-z'
'x+1/2,-y+3/4,-z+1/4'
'-x+1/2,y+3/4,z+1/4'
'-x+3/4,y+1/2,-z+1/4'
'x+3/4,-y+1/2,z+1/4'
loop_
_atom_site_label
_atom_site_type_symbol
_atom_site_fract_x
_atom_site_fract_y
_atom_site_fract_z
_atom_site_occupancy
Tl1 Tl 0.125 0.125 0.311 1
Cr1 Cr 0.125 0.125 0.125 1
Ga1 Ga 0.125 0.125 0.625 1
O1 O 0.120 0.281 0.839 1
```

=====

(2)
This entry pairs a crystal structure of Ca4Al3CrSiBO14 with its theoretical powder XRD pattern. Radiation: Cu Kα (weighted mean of Kα1 and Kα2). Structure: DFT lattice parameters and positions (PBE+U).
No peak broadening, texture or thermal motion is included.

Top 12 peaks for 10° ≤ 2θ ≤ 90°, by intensity:
(hkl)	d [Å]	2θ/deg	I (rel.)
1 2 -1	2.870	31.16	100
1 -2 1	2.842	31.48	53
1 1 2	2.805	31.90	45
1 2 1	2.814	31.80	45
1 1 -2	2.890	30.94	44
1 1 -1	3.745	23.76	43
-1 2 1	2.856	31.33	42
1 -1 2	2.828	31.64	34
1 0 -2	3.110	28.71	27
2 1 3	1.728	52.98	27
-2 3 1	1.761	51.94	26
2 -1 3	1.738	52.66	22

Structure:
```
data_Ca4Al3CrSiBO14
_space_group_name_H-M_alt 'P 1'
_space_group_IT_number 1
_space_group_name_Hall 'P 1'
_cell_length_a 5.063
_cell_length_b 7.683
_cell_length_c 7.718
_cell_angle_alpha 90.71
_cell_angle_beta 91.59
_cell_angle_gamma 90.20
loop_
_atom_site_label
_atom_site_type_symbol
_atom_site_fract_x
_atom_site_fract_y
_atom_site_fract_z
_atom_site_occupancy
Ca1 Ca 0.000 0.000 0.000 1
Ca2 Ca 0.009 0.497 0.797 1
Ca3 Ca 0.961 0.304 0.343 1
Ca4 Ca 0.989 0.822 0.473 1
Al1 Al 0.483 0.157 0.648 1
Al2 Al 0.490 0.686 0.158 1
Al3 Al 0.522 0.523 0.512 1
Cr1 Cr 0.451 0.307 0.024 1
Si1 Si 0.544 0.812 0.800 1
B1 B 0.427 0.022 0.307 1
O1 O 0.182 0.521 0.515 1
O2 O 0.225 0.813 0.799 1
O3 O 0.279 0.234 0.821 1
O4 O 0.289 0.857 0.237 1
O5 O 0.290 0.067 0.474 1
O6 O 0.298 0.519 0.048 1
O7 O 0.307 0.165 0.182 1
O8 O 0.671 0.673 0.662 1
O9 O 0.678 0.581 0.319 1
O10 O 0.683 0.330 0.583 1
O11 O 0.685 0.998 0.750 1
O12 O 0.689 0.765 0.989 1
O13 O 0.707 0.019 0.313 1
O14 O 0.792 0.301 0.020 1
```